Starting from a GGA-PBE-relaxed structure, the PXRD pattern of CsMg14Ga was computed for copper Kα.
Lines closer than 0.1° are merged.

Cell and atoms:
Cell: 6.5256 6.5256 10.8122 Å, 90.00 90.00 120.00°
Space group P-6m2 (No. 187)
Asymmetric unit:
Cs 0.0000 0.0000 0.0000
Mg 0.0056 0.5028 0.0000
Mg 0.1709 0.3417 0.2703
Mg 0.5029 0.0057 0.5000
Mg 0.6667 0.3333 0.2448
Ga 0.0000 0.0000 0.5000

The 8 most intense peaks (15 to 90 degrees two-theta), by intensity:
2θ 35.86, rel. 1000, hkl 2 0 2; 2θ 15.68, rel. 336, hkl 1 0 0; 2θ 22.76, rel. 329, hkl 1 0 2; 2θ 31.66, rel. 283, hkl 2 0 0; 2θ 33.14, rel. 256, hkl 0 0 4; 2θ 46.49, rel. 188, hkl 2 0 4; 2θ 67.00, rel. 185, hkl 2 2 4; 2θ 60.98, rel. 184, hkl 2 0 6

***

Starting from a GGA-PBE-relaxed structure, the PXRD pattern of Gd2In was computed for copper Kα.
Lines closer than 0.1° are merged.

Cell and atoms:
Cell: 5.4676 5.4676 6.8095 Å, 90.00 90.00 120.00°
Space group P6_3/mmc (No. 194)
Asymmetric unit:
Gd 0.0000 0.0000 0.0000
Gd 0.3333 0.6667 0.2500
In 0.3333 0.6667 0.7500

The 8 most intense peaks (15 to 90 degrees two-theta), by intensity:
2θ 32.76, rel. 1000, hkl 1 1 0; 2θ 32.39, rel. 957, hkl 1 0 2; 2θ 58.24, rel. 356, hkl 2 1 2; 2θ 46.73, rel. 344, hkl 2 0 2; 2θ 64.48, rel. 280, hkl 1 1 4; 2θ 58.47, rel. 189, hkl 3 0 0; 2θ 77.98, rel. 152, hkl 3 1 2; 2θ 83.53, rel. 137, hkl 3 0 4